The following is a computed powder X-ray diffraction pattern of Tb4InTe2. It was derived from the GGA-PBE geometry in Alexandria, using Cu Kα (λ = 1.5418 Å).
Lines closer than 0.1° are merged.

```
data_Tb4InTe2
_chemical_formula_sum 'Tb8 In2 Te4'
_cell_length_a 8.298
_cell_length_b 8.298
_cell_length_c 8.298
_cell_angle_alpha 108.83
_cell_angle_beta 108.83
_cell_angle_gamma 110.75
_symmetry_space_group_name_H-M 'P 1'
_symmetry_Int_Tables_number 1
loop_
_symmetry_equiv_pos_as_xyz
'x,y,z'
loop_
_atom_site_label
_atom_site_type_symbol
_atom_site_fract_x
_atom_site_fract_y
_atom_site_fract_z
Tb1 Tb 0.182 0.242 0.561
Tb2 Tb 0.182 0.621 0.939
Tb3 Tb 0.242 0.182 0.061
Tb4 Tb 0.379 0.818 0.561
Tb5 Tb 0.621 0.182 0.439
Tb6 Tb 0.758 0.818 0.939
Tb7 Tb 0.818 0.379 0.061
Tb8 Tb 0.818 0.758 0.439
In1 In 0.125 0.875 0.250
In2 In 0.875 0.125 0.750
Te1 Te 0.000 0.500 0.500
Te2 Te 0.500 0.000 0.000
Te3 Te 0.500 0.500 0.000
Te4 Te 0.500 0.500 0.500
```

Most intense lines, 2θ from 10° to 80°, sorted by position:
2θ/deg	I_rel
26.1	83
29.3	44
29.9	100
34.8	63
37.2	46
40.1	28
44.2	35
48.8	28

---

The following is a computed powder X-ray diffraction pattern of La2Ce3Pb4. It was derived from the GGA-PBE geometry in Alexandria, using Cu Kα (λ = 1.5418 Å).
Lines closer than 0.1° are merged.

```
data_La2Ce3Pb4
_chemical_formula_sum 'La4 Ce6 Pb8'
_cell_length_a 9.647
_cell_length_b 9.647
_cell_length_c 9.409
_cell_angle_alpha 90.00
_cell_angle_beta 90.00
_cell_angle_gamma 136.55
_symmetry_space_group_name_H-M 'P 1'
_symmetry_Int_Tables_number 1
loop_
_symmetry_equiv_pos_as_xyz
'x,y,z'
loop_
_atom_site_label
_atom_site_type_symbol
_atom_site_fract_x
_atom_site_fract_y
_atom_site_fract_z
La1 La 0.111 0.889 0.918
La2 La 0.389 0.611 0.418
La3 La 0.611 0.389 0.582
La4 La 0.889 0.111 0.082
Ce1 Ce 0.000 0.000 0.500
Ce2 Ce 0.043 0.457 0.750
Ce3 Ce 0.457 0.043 0.250
Ce4 Ce 0.500 0.500 0.000
Ce5 Ce 0.543 0.957 0.750
Ce6 Ce 0.957 0.543 0.250
Pb1 Pb 0.181 0.819 0.556
Pb2 Pb 0.219 0.281 0.750
Pb3 Pb 0.281 0.219 0.250
Pb4 Pb 0.319 0.681 0.056
Pb5 Pb 0.681 0.319 0.944
Pb6 Pb 0.719 0.781 0.750
Pb7 Pb 0.781 0.719 0.250
Pb8 Pb 0.819 0.181 0.444
```

Most intense lines, 2θ from 10° to 80°, sorted by position:
2θ/deg	I_rel
28.5	35
29.5	52
30.2	37
31.4	100
32.0	16
40.5	18
49.3	16
56.2	15

---

The following is a computed powder X-ray diffraction pattern of TlIn6Ga4. It was derived from the GGA-PBE geometry in Alexandria, using Cu Kα (λ = 1.5418 Å).
Lines closer than 0.1° are merged.

```
data_TlIn6Ga4
_chemical_formula_sum 'Tl1 In6 Ga4'
_cell_length_a 7.203
_cell_length_b 7.203
_cell_length_c 7.126
_cell_angle_alpha 119.63
_cell_angle_beta 119.63
_cell_angle_gamma 74.32
_symmetry_space_group_name_H-M 'P 1'
_symmetry_Int_Tables_number 1
loop_
_symmetry_equiv_pos_as_xyz
'x,y,z'
loop_
_atom_site_label
_atom_site_type_symbol
_atom_site_fract_x
_atom_site_fract_y
_atom_site_fract_z
Tl1 Tl 0.000 0.000 0.000
In1 In 0.350 0.350 0.409
In2 In 0.391 0.833 0.812
In3 In 0.551 0.950 0.525
In4 In 0.833 0.391 0.812
In5 In 0.925 0.925 0.378
In6 In 0.950 0.551 0.525
Ga1 Ga 0.229 0.621 0.169
Ga2 Ga 0.259 0.259 0.745
Ga3 Ga 0.574 0.574 0.075
Ga4 Ga 0.621 0.229 0.169
```

Most intense lines, 2θ from 10° to 80°, sorted by position:
2θ/deg	I_rel
26.0	21
28.5	22
28.8	26
32.4	79
32.5	100
38.6	47
40.7	20
53.5	20

---

The following is a computed powder X-ray diffraction pattern of La6CoNiHg2. It was derived from the GGA-PBE geometry in Alexandria, using Cu Kα (λ = 1.5418 Å).
Lines closer than 0.1° are merged.

```
data_La6CoNiHg2
_chemical_formula_sum 'La6 Co1 Ni1 Hg2'
_cell_length_a 7.517
_cell_length_b 7.557
_cell_length_c 7.586
_cell_angle_alpha 119.41
_cell_angle_beta 119.35
_cell_angle_gamma 90.43
_symmetry_space_group_name_H-M 'P 1'
_symmetry_Int_Tables_number 1
loop_
_symmetry_equiv_pos_as_xyz
'x,y,z'
loop_
_atom_site_label
_atom_site_type_symbol
_atom_site_fract_x
_atom_site_fract_y
_atom_site_fract_z
La1 La 0.187 0.183 0.002
La2 La 0.279 0.785 0.510
La3 La 0.294 0.664 0.951
La4 La 0.706 0.336 0.049
La5 La 0.721 0.215 0.490
La6 La 0.813 0.817 0.998
Co1 Co 0.500 0.000 0.000
Ni1 Ni 0.000 0.500 0.000
Hg1 Hg 0.261 0.237 0.500
Hg2 Hg 0.739 0.763 0.500
```

Most intense lines, 2θ from 10° to 80°, sorted by position:
2θ/deg	I_rel
27.7	23
27.8	16
28.7	28
28.8	100
32.9	48
33.5	29
33.8	26
47.7	22

---

The following is a computed powder X-ray diffraction pattern of Cr3Rh3S8. It was derived from the GGA-PBE geometry in Alexandria, using Cu Kα (λ = 1.5418 Å).
Lines closer than 0.1° are merged.

```
data_Cr3Rh3S8
_chemical_formula_sum 'Cr3 Rh3 S8'
_cell_length_a 6.075
_cell_length_b 6.415
_cell_length_c 6.866
_cell_angle_alpha 104.88
_cell_angle_beta 90.46
_cell_angle_gamma 116.02
_symmetry_space_group_name_H-M 'P 1'
_symmetry_Int_Tables_number 1
loop_
_symmetry_equiv_pos_as_xyz
'x,y,z'
loop_
_atom_site_label
_atom_site_type_symbol
_atom_site_fract_x
_atom_site_fract_y
_atom_site_fract_z
Cr1 Cr 0.000 0.000 0.000
Cr2 Cr 0.287 0.525 0.634
Cr3 Cr 0.713 0.475 0.366
Rh1 Rh 0.000 0.000 0.500
Rh2 Rh 0.284 0.530 0.141
Rh3 Rh 0.716 0.470 0.859
S1 S 0.023 0.730 0.181
S2 S 0.027 0.734 0.686
S3 S 0.445 0.240 0.553
S4 S 0.451 0.246 0.060
S5 S 0.549 0.754 0.940
S6 S 0.555 0.760 0.447
S7 S 0.973 0.266 0.314
S8 S 0.977 0.270 0.819
```

Most intense lines, 2θ from 10° to 80°, sorted by position:
2θ/deg	I_rel
16.1	66
16.9	66
29.4	62
29.8	60
30.0	61
33.8	100
44.4	64
45.3	62

---

The following is a computed powder X-ray diffraction pattern of Cs9Rb4Au. It was derived from the GGA-PBE geometry in Alexandria, using Cu Kα (λ = 1.5418 Å).
Lines closer than 0.1° are merged.

```
data_Cs9Rb4Au
_chemical_formula_sum 'Cs18 Rb8 Au2'
_cell_length_a 14.642
_cell_length_b 14.642
_cell_length_c 14.290
_cell_angle_alpha 90.00
_cell_angle_beta 90.00
_cell_angle_gamma 120.00
_symmetry_space_group_name_H-M 'P 1'
_symmetry_Int_Tables_number 1
loop_
_symmetry_equiv_pos_as_xyz
'x,y,z'
loop_
_atom_site_label
_atom_site_type_symbol
_atom_site_fract_x
_atom_site_fract_y
_atom_site_fract_z
Cs1 Cs 0.085 0.542 0.250
Cs2 Cs 0.218 0.437 0.576
Cs3 Cs 0.218 0.437 0.924
Cs4 Cs 0.218 0.782 0.576
Cs5 Cs 0.218 0.782 0.924
Cs6 Cs 0.437 0.218 0.076
Cs7 Cs 0.437 0.218 0.424
Cs8 Cs 0.458 0.542 0.250
Cs9 Cs 0.458 0.915 0.250
Cs10 Cs 0.542 0.085 0.750
Cs11 Cs 0.542 0.458 0.750
Cs12 Cs 0.563 0.782 0.576
Cs13 Cs 0.563 0.782 0.924
Cs14 Cs 0.782 0.218 0.076
Cs15 Cs 0.782 0.218 0.424
Cs16 Cs 0.782 0.563 0.076
Cs17 Cs 0.782 0.563 0.424
Cs18 Cs 0.915 0.458 0.750
Rb1 Rb 0.000 0.000 0.000
Rb2 Rb 0.000 0.000 0.500
Rb3 Rb 0.114 0.228 0.250
Rb4 Rb 0.114 0.886 0.250
Rb5 Rb 0.228 0.114 0.750
Rb6 Rb 0.772 0.886 0.250
Rb7 Rb 0.886 0.114 0.750
Rb8 Rb 0.886 0.772 0.750
Au1 Au 0.333 0.667 0.750
Au2 Au 0.667 0.333 0.250
```

Most intense lines, 2θ from 10° to 80°, sorted by position:
2θ/deg	I_rel
19.9	26
21.9	93
22.3	100
23.4	52
31.6	28
36.2	24
36.8	45
38.0	32

---

- What is the formula in the sixth record?
  Cs9Rb4Au